This entry pairs a crystal structure of Ce2Mn3Si4Pd with its calculated X-ray powder pattern. Radiation: Cu Kα (weighted mean of Kα1 and Kα2). Structure: a PBE-relaxed structure.
Kinematic intensities with the Lorentz-polarization factor, no thermal factor.

Structural model:
Lattice parameters (Å, degrees): 4.033 4.033 10.340 90.00 90.00 90.00
Space group P-4m2 (No. 115)
Inequivalent atoms, fractional coordinates:
Ce  0.000  0.500  0.245
Mn  0.000  0.000  0.000
Mn  0.500  0.500  0.000
Mn  0.500  0.500  0.500
Si  0.000  0.500  0.638
Si  0.000  0.500  0.872
Pd  0.000  0.000  0.500

The 10 most intense peaks (2θ from 5° to 70°), in order of rising 2θ:
(1 0 1), 2θ 23.7, rel. 35
(1 0 3), 2θ 34.2, rel. 43
(0 0 4), 2θ 34.7, rel. 17
(1 1 2), 2θ 36.0, rel. 100
(2 0 0), 2θ 45.0, rel. 37
(1 0 5), 2θ 49.5, rel. 18
(2 1 3), 2θ 57.7, rel. 19
(2 0 4), 2θ 58.0, rel. 15
(1 1 6), 2θ 63.0, rel. 15
(2 1 5), 2θ 69.1, rel. 13